Entry 1:
ReRu2Se: computed powder diffraction line list (Cu Kα (λ = 1.5418 Å)), based on the PBE geometry in Alexandria.

```
data_ReRu2Se
_chemical_formula_sum 'Re3 Ru6 Se3'
_symmetry_space_group_name_H-M 'R 3 m'
_symmetry_Int_Tables_number 160
_symmetry_space_group_name_Hall 'R 3 -2"'
_cell_length_a 2.8547
_cell_length_b 2.8547
_cell_length_c 25.2022
_cell_angle_alpha 90.00
_cell_angle_beta 90.00
_cell_angle_gamma 120.00
loop_
_atom_site_label
_atom_site_type_symbol
_atom_site_fract_x
_atom_site_fract_y
_atom_site_fract_z
Re1 Re 0.0000 0.0000 0.0000
Ru1 Ru 0.0000 0.0000 0.2504
Ru2 Ru 0.0000 0.0000 0.4971
Se1 Se 0.0000 0.0000 0.7516
```

Largest 10 diffraction maxima, by angle, 2θ = 5–70°:
d_spacing	2θ/deg	intensity	h k l
8.401	10.53	20	0 0 3
4.200	21.15	8	0 0 6
2.460	36.52	4	1 0 1
2.426	37.06	6	0 1 2
2.301	39.14	100	1 0 4
2.220	40.65	3	0 1 5
2.100	43.07	25	0 0 12
1.945	46.71	60	0 1 8
1.765	51.80	2	1 0 10
1.427	65.38	22	1 1 0

Entry 2:
ReSiRu2: computed powder diffraction line list (Cu Kα (λ = 1.5418 Å)), based on the PBE geometry in Alexandria.

```
data_ReSiRu2
_chemical_formula_sum 'Re1 Si1 Ru2'
_symmetry_space_group_name_H-M 'P 4/m m m'
_symmetry_Int_Tables_number 123
_symmetry_space_group_name_Hall '-P 4 2'
_cell_length_a 2.841
_cell_length_b 2.841
_cell_length_c 6.680
_cell_angle_alpha 90.00
_cell_angle_beta 90.00
_cell_angle_gamma 90.00
loop_
_atom_site_label
_atom_site_type_symbol
_atom_site_fract_x
_atom_site_fract_y
_atom_site_fract_z
Re1 Re 0.000 0.000 0.000
Si1 Si 0.000 0.000 0.500
Ru1 Ru 0.500 0.500 0.279
```

Largest 10 diffraction maxima, by angle, 2θ = 5–70°:
d_spacing	2θ/deg	intensity	h k l
6.680	13.25	32	0 0 1
2.615	34.30	39	1 0 1
2.227	40.51	11	0 0 3
2.164	41.74	100	1 0 2
2.009	45.13	43	1 1 0
1.924	47.24	6	1 1 1
1.670	54.99	9	0 0 4
1.492	62.24	13	1 1 3
1.421	65.72	14	2 0 0
1.390	67.39	2	2 0 1

Entry 3:
ReSiRu: computed powder diffraction line list (Cu Kα (λ = 1.5418 Å)), based on the PBE geometry in Alexandria.

```
data_ReSiRu
_chemical_formula_sum 'Re2 Si2 Ru2'
_symmetry_space_group_name_H-M 'I 4 m m'
_symmetry_Int_Tables_number 107
_symmetry_space_group_name_Hall 'I 4 -2'
_cell_length_a 2.900
_cell_length_b 2.900
_cell_length_c 9.587
_cell_angle_alpha 90.00
_cell_angle_beta 90.00
_cell_angle_gamma 90.00
loop_
_atom_site_label
_atom_site_type_symbol
_atom_site_fract_x
_atom_site_fract_y
_atom_site_fract_z
Re1 Re 0.000 0.000 0.000
Si1 Si 0.000 0.000 0.658
Ru1 Ru 0.000 0.000 0.306
```

Largest 10 diffraction maxima, by angle, 2θ = 5–70°:
d_spacing	2θ/deg	intensity	h k l
4.794	18.51	21	0 0 2
2.776	32.25	50	1 0 1
2.397	37.52	14	0 0 4
2.148	42.07	100	1 0 3
2.051	44.17	46	1 1 0
1.885	48.27	8	1 1 2
1.598	57.68	11	0 0 6
1.558	59.31	15	1 1 4
1.450	64.24	15	2 0 0
1.388	67.48	3	2 0 2

Entry 4:
ReSiTcRu: computed powder diffraction line list (Cu Kα (λ = 1.5418 Å)), based on the PBE geometry in Alexandria.

```
data_ReSiTcRu
_chemical_formula_sum 'Re2 Si2 Tc2 Ru2'
_symmetry_space_group_name_H-M 'I m m 2'
_symmetry_Int_Tables_number 44
_cell_length_a 2.924
_cell_length_b 4.351
_cell_length_c 8.730
_cell_angle_alpha 90.00
_cell_angle_beta 90.00
_cell_angle_gamma 90.00
loop_
_symmetry_equiv_pos_as_xyz
'x,y,z'
'-x,-y,z'
'-x,y,z'
'x,-y,z'
'x+1/2,y+1/2,z+1/2'
'-x+1/2,-y+1/2,z+1/2'
'-x+1/2,y+1/2,z+1/2'
'x+1/2,-y+1/2,z+1/2'
loop_
_atom_site_label
_atom_site_type_symbol
_atom_site_fract_x
_atom_site_fract_y
_atom_site_fract_z
Re1 Re 0.000 0.000 0.000
Si1 Si 0.000 0.500 0.270
Tc1 Tc 0.000 0.000 0.545
Ru1 Ru 0.000 0.500 0.769
```

Largest 10 diffraction maxima, by angle, 2θ = 5–70°:
d_spacing	2θ/deg	intensity	h k l
4.365	20.35	20	0 0 2
3.894	22.84	12	0 1 1
2.772	32.29	13	1 0 1
2.427	37.05	11	1 1 0
2.419	37.17	19	0 1 3
2.182	41.37	23	0 0 4
2.176	41.51	28	0 2 0
2.121	42.63	100	1 1 2
1.541	60.04	15	0 2 4
1.462	63.66	8	2 0 0

Entry 5:
UReSi2Ru: computed powder diffraction line list (Cu Kα (λ = 1.5418 Å)), based on the PBE geometry in Alexandria.

```
data_UReSi2Ru
_chemical_formula_sum 'U2 Re2 Si4 Ru2'
_symmetry_space_group_name_H-M 'I -4 m 2'
_symmetry_Int_Tables_number 119
_symmetry_space_group_name_Hall 'I -4 -2'
_cell_length_a 4.185
_cell_length_b 4.185
_cell_length_c 9.577
_cell_angle_alpha 90.00
_cell_angle_beta 90.00
_cell_angle_gamma 90.00
loop_
_atom_site_label
_atom_site_type_symbol
_atom_site_fract_x
_atom_site_fract_y
_atom_site_fract_z
U1 U 0.000 0.000 0.000
Re1 Re 0.000 0.500 0.250
Si1 Si 0.000 0.000 0.375
Ru1 Ru 0.000 0.500 0.750
```

Largest 10 diffraction maxima, by angle, 2θ = 5–70°:
d_spacing	2θ/deg	intensity	h k l
3.835	23.19	44	1 0 1
2.538	35.36	30	1 0 3
2.517	35.66	100	1 1 2
2.394	37.57	17	0 0 4
2.093	43.23	36	2 0 0
1.837	49.63	13	2 1 1
1.615	57.04	16	2 1 3
1.576	58.59	19	2 0 4
1.480	62.79	12	2 2 0
1.405	66.57	17	1 1 6

Entry 6:
Re4TcRu3: computed powder diffraction line list (Cu Kα (λ = 1.5418 Å)), based on the PBE geometry in Alexandria.

```
data_Re4TcRu3
_chemical_formula_sum 'Re8 Tc2 Ru6'
_symmetry_space_group_name_H-M 'C 1 2 1'
_symmetry_Int_Tables_number 5
_cell_length_a 5.529
_cell_length_b 9.524
_cell_length_c 5.194
_cell_angle_alpha 90.00
_cell_angle_beta 122.15
_cell_angle_gamma 90.00
loop_
_symmetry_equiv_pos_as_xyz
'x,y,z'
'-x,y,-z'
'x+1/2,y+1/2,z'
'-x+1/2,y+1/2,-z'
loop_
_atom_site_label
_atom_site_type_symbol
_atom_site_fract_x
_atom_site_fract_y
_atom_site_fract_z
Re1 Re 0.000 0.000 0.000
Re2 Re 0.000 0.421 0.500
Re3 Re 0.247 0.752 0.000
Tc1 Tc 0.000 0.920 0.500
Ru1 Ru 0.000 0.502 0.000
Ru2 Ru 0.249 0.672 0.500
```

Largest 10 diffraction maxima, by angle, 2θ = 5–70°:
d_spacing	2θ/deg	intensity	h k l
4.201	21.15	8	1 1 -1
2.391	37.62	24	2 2 -1
2.381	37.78	14	0 4 0
2.199	41.04	37	0 0 2
2.100	43.07	100	2 2 0
2.094	43.21	46	0 4 1
1.618	56.89	14	2 2 1
1.615	57.01	9	0 4 2
1.382	67.80	8	4 0 -2
1.376	68.12	16	2 6 -1

Entry 7:
Re2TcRu: computed powder diffraction line list (Cu Kα (λ = 1.5418 Å)), based on the PBE geometry in Alexandria.

```
data_Re2TcRu
_chemical_formula_sum 'Re6 Tc3 Ru3'
_symmetry_space_group_name_H-M 'R 3 m'
_symmetry_Int_Tables_number 160
_symmetry_space_group_name_Hall 'R 3 -2"'
_cell_length_a 2.7455
_cell_length_b 2.7455
_cell_length_c 26.9625
_cell_angle_alpha 90.00
_cell_angle_beta 90.00
_cell_angle_gamma 120.00
loop_
_atom_site_label
_atom_site_type_symbol
_atom_site_fract_x
_atom_site_fract_y
_atom_site_fract_z
Re1 Re 0.0000 0.0000 0.0000
Re2 Re 0.0000 0.0000 0.2480
Tc1 Tc 0.0000 0.0000 0.4993
Ru1 Ru 0.0000 0.0000 0.7482
```

Largest 10 diffraction maxima, by angle, 2θ = 5–70°:
d_spacing	2θ/deg	intensity	h k l
8.988	9.84	24	0 0 3
2.996	29.82	3	0 0 9
2.369	37.99	4	1 0 1
2.243	40.20	100	1 0 4
2.176	41.51	3	0 1 5
2.023	44.79	2	1 0 7
1.943	46.76	49	0 1 8
1.563	59.11	1	1 0 13
1.375	68.21	16	1 0 16
1.373	68.33	16	1 1 0

Entry 8:
Re5Tc2Ru: computed powder diffraction line list (Cu Kα (λ = 1.5418 Å)), based on the PBE geometry in Alexandria.

```
data_Re5Tc2Ru
_chemical_formula_sum 'Re20 Tc8 Ru4'
_symmetry_space_group_name_H-M 'F m m 2'
_symmetry_Int_Tables_number 42
_symmetry_space_group_name_Hall 'F 2 -2'
_cell_length_a 5.548
_cell_length_b 8.862
_cell_length_c 9.577
_cell_angle_alpha 90.00
_cell_angle_beta 90.00
_cell_angle_gamma 90.00
loop_
_atom_site_label
_atom_site_type_symbol
_atom_site_fract_x
_atom_site_fract_y
_atom_site_fract_z
Re1 Re 0.000 0.000 0.000
Re2 Re 0.246 0.000 0.752
Re3 Re 0.250 0.250 0.419
Tc1 Tc 0.000 0.248 0.670
Ru1 Ru 0.000 0.000 0.502
```

Largest 10 diffraction maxima, by angle, 2θ = 5–70°:
d_spacing	2θ/deg	intensity	h k l
4.789	18.53	3	0 0 2
4.221	21.05	2	1 1 1
3.252	27.42	4	0 2 2
2.774	32.27	2	2 0 0
2.398	37.50	25	0 0 4
2.215	40.73	26	0 4 0
2.109	42.88	100	2 2 2
1.627	56.55	15	0 4 4
1.387	67.54	6	4 0 0
1.384	67.73	11	2 0 6

Entry 9:
Re3Tc4Ru: computed powder diffraction line list (Cu Kα (λ = 1.5418 Å)), based on the PBE geometry in Alexandria.

```
data_Re3Tc4Ru
_chemical_formula_sum 'Re6 Tc8 Ru2'
_symmetry_space_group_name_H-M 'I 2 2 2'
_symmetry_Int_Tables_number 23
_cell_length_a 4.964
_cell_length_b 5.434
_cell_length_c 8.919
_cell_angle_alpha 90.00
_cell_angle_beta 90.00
_cell_angle_gamma 90.00
loop_
_symmetry_equiv_pos_as_xyz
'x,y,z'
'-x,-y,z'
'x,-y,-z'
'-x,y,-z'
'x+1/2,y+1/2,z+1/2'
'-x+1/2,-y+1/2,z+1/2'
'x+1/2,-y+1/2,-z+1/2'
'-x+1/2,y+1/2,-z+1/2'
loop_
_atom_site_label
_atom_site_type_symbol
_atom_site_fract_x
_atom_site_fract_y
_atom_site_fract_z
Re1 Re 0.000 0.000 0.000
Re2 Re 0.000 0.232 0.500
Tc1 Tc 0.246 0.151 0.241
Ru1 Ru 0.000 0.500 0.000
```

Largest 10 diffraction maxima, by angle, 2θ = 5–70°:
d_spacing	2θ/deg	intensity	h k l
4.460	19.91	15	0 0 2
3.665	24.29	5	1 1 0
2.831	31.60	5	1 1 2
2.482	36.19	4	2 0 0
2.303	39.12	100	1 2 1
2.230	40.45	44	0 0 4
2.169	41.65	83	2 0 2
1.860	48.98	52	1 2 3
1.428	65.34	22	1 2 5
1.396	67.05	20	3 2 1

Entry 10:
Re2Tc2Ru5: computed powder diffraction line list (Cu Kα (λ = 1.5418 Å)), based on the PBE geometry in Alexandria.

```
data_Re2Tc2Ru5
_chemical_formula_sum 'Re4 Tc4 Ru10'
_symmetry_space_group_name_H-M 'C 1 2/m 1'
_symmetry_Int_Tables_number 12
_cell_length_a 9.006
_cell_length_b 4.288
_cell_length_c 7.214
_cell_angle_alpha 90.00
_cell_angle_beta 105.51
_cell_angle_gamma 90.00
loop_
_symmetry_equiv_pos_as_xyz
'x,y,z'
'-x,-y,-z'
'-x,y,-z'
'x,-y,z'
'x+1/2,y+1/2,z'
'-x+1/2,-y+1/2,-z'
'-x+1/2,y+1/2,-z'
'x+1/2,-y+1/2,z'
loop_
_atom_site_label
_atom_site_type_symbol
_atom_site_fract_x
_atom_site_fract_y
_atom_site_fract_z
Re1 Re 0.226 0.000 0.381
Tc1 Tc 0.180 0.500 0.945
Ru1 Ru 0.000 0.000 0.000
Ru2 Ru 0.084 0.500 0.264
Ru3 Ru 0.100 0.000 0.686
```

Largest 10 diffraction maxima, by angle, 2θ = 5–70°:
d_spacing	2θ/deg	intensity	h k l
4.223	21.04	14	2 0 -1
2.439	36.85	13	1 1 2
2.317	38.87	31	0 0 3
2.217	40.70	58	3 1 -2
2.144	42.15	54	0 2 0
2.126	42.52	100	3 1 1
2.111	42.83	22	4 0 -2
2.097	43.13	54	1 1 -3
1.574	58.66	18	0 2 3
1.504	61.65	15	4 2 -2

Entry 11:
Re3TcRu2: computed powder diffraction line list (Cu Kα (λ = 1.5418 Å)), based on the PBE geometry in Alexandria.

```
data_Re3TcRu2
_chemical_formula_sum 'Re6 Tc2 Ru4'
_symmetry_space_group_name_H-M 'P -1'
_symmetry_Int_Tables_number 2
_cell_length_a 2.740
_cell_length_b 7.253
_cell_length_c 9.522
_cell_angle_alpha 70.96
_cell_angle_beta 89.92
_cell_angle_gamma 79.12
loop_
_symmetry_equiv_pos_as_xyz
'x,y,z'
'-x,-y,-z'
loop_
_atom_site_label
_atom_site_type_symbol
_atom_site_fract_x
_atom_site_fract_y
_atom_site_fract_z
Re1 Re 0.083 0.333 0.124
Re2 Re 0.415 0.671 0.122
Re3 Re 0.416 0.670 0.622
Tc1 Tc 0.082 0.335 0.623
Ru1 Ru 0.249 0.000 0.378
Ru2 Ru 0.250 0.999 0.878
```

Largest 10 diffraction maxima, by angle, 2θ = 5–70°:
d_spacing	2θ/deg	intensity	h k l
8.982	9.85	4	0 0 1
6.718	13.18	8	0 1 0
6.516	13.59	4	0 1 1
3.359	26.53	2	0 2 0
2.245	40.16	35	0 0 4
2.239	40.29	100	1 2 2
1.942	46.79	22	1 -1 2
1.940	46.84	44	0 3 4
1.373	68.29	21	1 2 6
1.370	68.46	21	2 1 0

Entry 12:
Re2TcRu6: computed powder diffraction line list (Cu Kα (λ = 1.5418 Å)), based on the PBE geometry in Alexandria.

```
data_Re2TcRu6
_chemical_formula_sum 'Re8 Tc4 Ru24'
_symmetry_space_group_name_H-M 'C 1 2/c 1'
_symmetry_Int_Tables_number 15
_cell_length_a 13.974
_cell_length_b 7.457
_cell_length_c 5.403
_cell_angle_alpha 90.00
_cell_angle_beta 112.68
_cell_angle_gamma 90.00
loop_
_symmetry_equiv_pos_as_xyz
'x,y,z'
'-x,-y,-z'
'-x,y,-z+1/2'
'x,-y,z+1/2'
'x+1/2,y+1/2,z'
'-x+1/2,-y+1/2,-z'
'-x+1/2,y+1/2,-z+1/2'
'x+1/2,-y+1/2,z+1/2'
loop_
_atom_site_label
_atom_site_type_symbol
_atom_site_fract_x
_atom_site_fract_y
_atom_site_fract_z
Re1 Re 0.167 0.014 0.417
Tc1 Tc 0.000 0.486 0.250
Ru1 Ru 0.000 0.166 0.507
Ru2 Ru 0.167 0.334 0.159
Ru3 Ru 0.167 0.334 0.674
```

Largest 10 diffraction maxima, by angle, 2θ = 5–70°:
d_spacing	2θ/deg	intensity	h k l
6.452	13.72	8	2 0 0
3.725	23.89	8	3 1 0
3.226	27.65	2	4 0 0
2.495	35.99	3	4 2 -1
2.439	36.86	2	5 1 0
2.187	41.28	100	1 1 2
2.151	42.01	92	6 0 0
1.683	54.53	2	1 3 2
1.533	60.36	32	4 2 2
1.351	69.60	7	4 0 -4